1.
Computed X-ray powder pattern of Nd3Sn2Pt7 for Cu Kα (λ = 1.5418 Å), from a PBE-relaxed structure.

Top 10 peaks for 5° ≤ 2θ ≤ 70°, by angle:
d/Å, two_theta, I/Imax
14.891, 5.94, 63
2.881, 31.05, 48
2.731, 32.79, 25
2.588, 34.66, 44
2.527, 35.52, 100
2.305, 39.07, 52
2.268, 39.74, 31
2.076, 43.59, 85
1.486, 62.51, 22
1.468, 63.36, 30

Structure:
Cell: 15.178 15.178 15.178 Å, 164.28 164.28 22.31°
Positions (direct):
Nd 0.000 0.000 0.000
Nd 0.182 0.182 0.000
Nd 0.818 0.818 0.000
Sn 0.372 0.372 0.000
Sn 0.628 0.628 0.000
Pt 0.073 0.573 0.500
Pt 0.281 0.281 0.000
Pt 0.427 0.927 0.500
Pt 0.500 0.500 0.000
Pt 0.573 0.073 0.500
Pt 0.719 0.719 0.000
Pt 0.927 0.427 0.500

=====

2.
Computed X-ray powder pattern of Dy4Er2Tm7 for Cu Kα (λ = 1.5418 Å), from a PBE-relaxed structure.

Top 10 peaks for 5° ≤ 2θ ≤ 70°, by angle:
d/Å, two_theta, I/Imax
3.285, 27.15, 18
2.912, 30.70, 46
2.719, 32.94, 100
2.628, 34.12, 16
2.468, 36.41, 33
2.210, 40.83, 15
1.766, 51.77, 18
1.724, 53.11, 30
1.456, 63.93, 14
1.439, 64.78, 15

Structure:
Cell: 5.973 5.973 13.139 Å, 90.00 90.00 120.00°
Positions (direct):
Dy 0.000 0.000 0.107
Dy 0.000 0.000 0.893
Dy 0.333 0.667 0.000
Dy 0.667 0.333 0.000
Er 0.333 0.667 0.500
Er 0.667 0.333 0.500
Tm 0.000 0.000 0.500
Tm 0.000 0.352 0.713
Tm 0.000 0.648 0.287
Tm 0.352 0.000 0.713
Tm 0.352 0.352 0.287
Tm 0.648 0.000 0.287
Tm 0.648 0.648 0.713

=====

3.
Computed X-ray powder pattern of CdPCl6 for Cu Kα (λ = 1.5418 Å), from a PBE-relaxed structure.

Top 10 peaks for 5° ≤ 2θ ≤ 70°, by angle:
d/Å, two_theta, I/Imax
5.204, 17.04, 14
4.598, 19.30, 100
3.357, 26.55, 31
2.758, 32.47, 80
2.698, 33.20, 15
2.299, 39.18, 15
2.109, 42.88, 53
2.007, 45.17, 16
1.858, 49.02, 16
1.822, 50.07, 28

Structure:
Cell: 6.741 6.741 6.741 Å, 55.82 55.82 55.82°
Positions (direct):
Cd 0.000 0.000 0.000
P 0.500 0.500 0.500
Cl 0.125 0.721 0.422
Cl 0.279 0.578 0.875
Cl 0.422 0.125 0.721
Cl 0.578 0.875 0.279
Cl 0.721 0.422 0.125
Cl 0.875 0.279 0.578

=====

4.
Computed X-ray powder pattern of BaSi6Pd12 for Cu Kα (λ = 1.5418 Å), from a PBE-relaxed structure.

Top 10 peaks for 5° ≤ 2θ ≤ 70°, by angle:
d/Å, two_theta, I/Imax
3.275, 27.23, 16
3.235, 27.58, 22
2.598, 34.53, 100
2.558, 35.09, 45
2.301, 39.14, 17
2.156, 41.89, 43
2.133, 42.38, 19
1.891, 48.12, 24
1.787, 51.11, 26
1.385, 67.63, 15

Structure:
Cell: 7.149 7.149 7.149 Å, 105.02 105.02 105.02°
Positions (direct):
Ba 0.000 0.000 0.000
Si 0.242 0.242 0.674
Si 0.242 0.674 0.242
Si 0.326 0.758 0.758
Si 0.674 0.242 0.242
Si 0.758 0.326 0.758
Si 0.758 0.758 0.326
Pd 0.128 0.500 0.872
Pd 0.128 0.872 0.500
Pd 0.178 0.450 0.450
Pd 0.450 0.178 0.450
Pd 0.450 0.450 0.178
Pd 0.500 0.128 0.872
Pd 0.500 0.872 0.128
Pd 0.550 0.550 0.822
Pd 0.550 0.822 0.550
Pd 0.822 0.550 0.550
Pd 0.872 0.128 0.500
Pd 0.872 0.500 0.128